The following is a calculated X-ray diffraction stick pattern of TlCrAsO4. It was derived from a PBE+U-relaxed structure, using Cu Kα (λ = 1.5418 Å).
Peak positions follow from Bragg's law for the DFT cell and can differ from measured ones.

Structural model:
```
data_TlCrAsO4
_cell_length_a 6.0339
_cell_length_b 6.0339
_cell_length_c 6.0339
_cell_angle_alpha 60.00
_cell_angle_beta 60.00
_cell_angle_gamma 60.00
_space_group_name_H-M_alt 'P 1'
_space_group_IT_number 1
loop_
_space_group_symop_operation_xyz
'x,y,z'
loop_
_atom_site_label
_atom_site_fract_x
_atom_site_fract_y
_atom_site_fract_z
Tl1 0.0000 0.0000 0.0000
Cr1 0.2500 0.2500 0.2500
As1 0.5000 0.5000 0.5000
O1 0.3836 0.3836 0.3836
O2 0.3836 0.3836 0.8493
O3 0.3836 0.8493 0.3836
O4 0.8493 0.3836 0.3836
```

The 6 most intense peaks (10 to 80 degrees two-theta), in order of rising 2θ:
| Position (°2θ) | intensity |
| --- | --- |
| 18.01 | 28 |
| 20.82 | 56 |
| 29.61 | 100 |
| 34.87 | 25 |
| 47.66 | 24 |
| 52.54 | 40 |